For Sc2Te3, a crystal structure in Alexandria, relaxed with GGA-PBE gives the theoretical PXRD pattern in this record (Cu Kα (weighted mean of Kα1 and Kα2)).
Lines closer than 0.1° are merged.

Main lines, in order of falling intensity (5 to 70 degrees two-theta):
2θ 30.50, I 100
2θ 43.66, I 49
2θ 26.28, I 36
2θ 26.38, I 36
2θ 51.66, I 23
2θ 54.08, I 13
2θ 54.31, I 13
2θ 43.55, I 12
2θ 43.81, I 12
2θ 63.47, I 12

Crystal structure
```
data_Sc2Te3
_cell_length_a 8.3133
_cell_length_b 11.7309
_cell_length_c 24.7956
_cell_angle_alpha 90.00
_cell_angle_beta 90.00
_cell_angle_gamma 90.00
_space_group_name_H-M_alt 'F d d d'
_space_group_IT_number 70
loop_
_space_group_symop_operation_xyz
'x,y,z'
'-x,-y,-z'
'-x+1/4,-y+1/4,z'
'x+1/4,y+1/4,-z'
'x,-y+1/4,-z+1/4'
'-x,y+1/4,z+1/4'
'-x+1/4,y,-z+1/4'
'x+1/4,-y,z+1/4'
'x,y+1/2,z+1/2'
'-x,-y+1/2,-z+1/2'
'-x+1/4,-y+3/4,z+1/2'
'x+1/4,y+3/4,-z+1/2'
'x,-y+3/4,-z+3/4'
'-x,y+3/4,z+3/4'
'-x+1/4,y+1/2,-z+3/4'
'x+1/4,-y+1/2,z+3/4'
'x+1/2,y,z+1/2'
'-x+1/2,-y,-z+1/2'
'-x+3/4,-y+1/4,z+1/2'
'x+3/4,y+1/4,-z+1/2'
'x+1/2,-y+1/4,-z+3/4'
'-x+1/2,y+1/4,z+3/4'
'-x+3/4,y,-z+3/4'
'x+3/4,-y,z+3/4'
'x+1/2,y+1/2,z'
'-x+1/2,-y+1/2,-z'
'-x+3/4,-y+3/4,z'
'x+3/4,y+3/4,-z'
'x+1/2,-y+3/4,-z+1/4'
'-x+1/2,y+3/4,z+1/4'
'-x+3/4,y+1/2,-z+1/4'
'x+3/4,-y+1/2,z+1/4'
loop_
_atom_site_label
_atom_site_fract_x
_atom_site_fract_y
_atom_site_fract_z
Sc1 0.1250 0.1250 0.0429
Sc2 0.1250 0.1250 0.3746
Te1 0.1221 0.3750 0.8750
Te2 0.1244 0.3749 0.2081
```

For LiMg4Sc, a crystal structure in Alexandria, relaxed with GGA-PBE gives the theoretical PXRD pattern in this record (Cu Kα (weighted mean of Kα1 and Kα2)).
Lines closer than 0.1° are merged.

Main lines, in order of falling intensity (5 to 70 degrees two-theta):
2θ 35.34, I 100
2θ 37.88, I 44
2θ 7.59, I 42
2θ 66.77, I 28
2θ 30.73, I 23
2θ 61.72, I 16
2θ 54.64, I 16
2θ 38.67, I 10
2θ 55.24, I 10
2θ 46.81, I 9

Crystal structure
```
data_LiMg4Sc
_cell_length_a 3.3594
_cell_length_b 3.3594
_cell_length_c 11.6444
_cell_angle_alpha 90.00
_cell_angle_beta 90.00
_cell_angle_gamma 90.00
_space_group_name_H-M_alt 'P 4/m m m'
_space_group_IT_number 123
_space_group_name_Hall '-P 4 2'
loop_
_atom_site_label
_atom_site_fract_x
_atom_site_fract_y
_atom_site_fract_z
Li1 0.0000 0.0000 0.0000
Mg1 0.0000 0.0000 0.3189
Mg2 0.5000 0.5000 0.1478
Sc1 0.5000 0.5000 0.5000
```

For BaSr2Li, a crystal structure in Alexandria, relaxed with GGA-PBE gives the theoretical PXRD pattern in this record (Cu Kα (weighted mean of Kα1 and Kα2)).
Lines closer than 0.1° are merged.

Main lines, in order of falling intensity (5 to 70 degrees two-theta):
2θ 26.82, I 100
2θ 25.87, I 73
2θ 6.94, I 71
2θ 20.94, I 46
2θ 29.20, I 43
2θ 42.40, I 39
2θ 24.21, I 33
2θ 47.74, I 30
2θ 51.60, I 28
2θ 28.04, I 26

Crystal structure
```
data_BaSr2Li
_cell_length_a 4.2641
_cell_length_b 4.2641
_cell_length_c 38.1866
_cell_angle_alpha 90.00
_cell_angle_beta 90.00
_cell_angle_gamma 120.00
_space_group_name_H-M_alt 'R 3 m'
_space_group_IT_number 160
_space_group_name_Hall 'R 3 -2"'
loop_
_atom_site_label
_atom_site_fract_x
_atom_site_fract_y
_atom_site_fract_z
Ba1 0.0000 0.0000 0.0000
Sr1 0.0000 0.0000 0.5715
Sr2 0.0000 0.0000 0.7613
Li1 0.0000 0.0000 0.1663
```

For Ta6W, a crystal structure in Alexandria, relaxed with GGA-PBE gives the theoretical PXRD pattern in this record (Cu Kα (weighted mean of Kα1 and Kα2)).
Lines closer than 0.1° are merged.

Main lines, in order of falling intensity (5 to 70 degrees two-theta):
2θ 38.57, I 100
2θ 38.68, I 100
2θ 69.93, I 35
2θ 55.77, I 35
2θ 69.71, I 18

Crystal structure
```
data_Ta6W
_cell_length_a 12.3179
_cell_length_b 12.3179
_cell_length_c 2.8628
_cell_angle_alpha 90.00
_cell_angle_beta 90.00
_cell_angle_gamma 120.00
_space_group_name_H-M_alt 'R -3'
_space_group_IT_number 148
_space_group_name_Hall '-R 3'
loop_
_atom_site_label
_atom_site_fract_x
_atom_site_fract_y
_atom_site_fract_z
Ta1 0.0474 0.8112 0.1778
W1 0.0000 0.0000 0.5000
```

For TlNCl2, a crystal structure in Alexandria, relaxed with GGA-PBE gives the theoretical PXRD pattern in this record (Cu Kα (weighted mean of Kα1 and Kα2)).
Lines closer than 0.1° are merged.

Main lines, in order of falling intensity (5 to 70 degrees two-theta):
2θ 27.43, I 100
2θ 32.33, I 54
2θ 16.70, I 38
2θ 48.54, I 28
2θ 32.20, I 27
2θ 51.71, I 21
2θ 56.56, I 15
2θ 48.40, I 14
2θ 64.15, I 12
2θ 42.83, I 9

Crystal structure
```
data_TlNCl2
_cell_length_a 6.4909
_cell_length_b 6.4909
_cell_length_c 9.2297
_cell_angle_alpha 90.00
_cell_angle_beta 90.00
_cell_angle_gamma 90.00
_space_group_name_H-M_alt 'I 41/a m d'
_space_group_IT_number 141
loop_
_space_group_symop_operation_xyz
'x,y,z'
'-x,-y,-z'
'-y+1/4,x+3/4,z+1/4'
'y+1/4,-x+3/4,-z+1/4'
'-x+1/2,-y,z+1/2'
'x+1/2,y,-z+1/2'
'y+1/4,-x+1/4,z+3/4'
'-y+1/4,x+1/4,-z+3/4'
'x,-y,-z'
'-x,y,z'
'-y+1/4,-x+1/4,-z+3/4'
'y+1/4,x+1/4,z+3/4'
'-x+1/2,y,-z+1/2'
'x+1/2,-y,z+1/2'
'y+1/4,x+3/4,-z+1/4'
'-y+1/4,-x+3/4,z+1/4'
'x+1/2,y+1/2,z+1/2'
'-x+1/2,-y+1/2,-z+1/2'
'-y+3/4,x+1/4,z+3/4'
'y+3/4,-x+1/4,-z+3/4'
'-x,-y+1/2,z'
'x,y+1/2,-z'
'y+3/4,-x+3/4,z+1/4'
'-y+3/4,x+3/4,-z+1/4'
'x+1/2,-y+1/2,-z+1/2'
'-x+1/2,y+1/2,z+1/2'
'-y+3/4,-x+3/4,-z+1/4'
'y+3/4,x+3/4,z+1/4'
'-x,y+1/2,-z'
'x,-y+1/2,z'
'y+3/4,x+1/4,-z+3/4'
'-y+3/4,-x+1/4,z+3/4'
loop_
_atom_site_label
_atom_site_fract_x
_atom_site_fract_y
_atom_site_fract_z
Tl1 0.0000 0.2500 0.3750
N1 0.0000 0.2500 0.8750
Cl1 0.0000 0.0000 0.0000
```

For LaCu2Pd, a crystal structure in Alexandria, relaxed with GGA-PBE gives the theoretical PXRD pattern in this record (Cu Kα (weighted mean of Kα1 and Kα2)).
Lines closer than 0.1° are merged.

Main lines, in order of falling intensity (5 to 70 degrees two-theta):
2θ 36.17, I 100
2θ 34.46, I 87
2θ 40.62, I 43
2θ 38.32, I 27
2θ 43.14, I 25
2θ 26.29, I 21
2θ 43.95, I 18
2θ 57.07, I 17
2θ 35.86, I 14
2θ 61.38, I 12

Crystal structure
```
data_LaCu2Pd
_cell_length_a 4.4420
_cell_length_b 10.0172
_cell_length_c 6.7800
_cell_angle_alpha 90.00
_cell_angle_beta 90.00
_cell_angle_gamma 90.00
_space_group_name_H-M_alt 'C m c m'
_space_group_IT_number 63
_space_group_name_Hall '-C 2c 2'
loop_
_atom_site_label
_atom_site_fract_x
_atom_site_fract_y
_atom_site_fract_z
La1 0.0000 0.0896 0.2500
Cu1 0.0000 0.3797 0.0647
Pd1 0.0000 0.2040 0.7500
```

For CeAlGa2O6, a crystal structure in Alexandria, relaxed with GGA-PBE gives the theoretical PXRD pattern in this record (Cu Kα (weighted mean of Kα1 and Kα2)).
Lines closer than 0.1° are merged.

Main lines, in order of falling intensity (5 to 70 degrees two-theta):
2θ 27.04, I 100
2θ 26.62, I 65
2θ 29.30, I 62
2θ 35.73, I 58
2θ 43.46, I 58
2θ 23.95, I 50
2θ 17.20, I 46
2θ 34.80, I 43
2θ 31.28, I 35
2θ 30.49, I 31

Crystal structure
```
data_CeAlGa2O6
_cell_length_a 11.0319
_cell_length_b 8.9771
_cell_length_c 6.3401
_cell_angle_alpha 90.00
_cell_angle_beta 118.22
_cell_angle_gamma 90.00
_space_group_name_H-M_alt 'C 1 2/c 1'
_space_group_IT_number 15
_space_group_name_Hall '-C 2yc'
loop_
_atom_site_label
_atom_site_fract_x
_atom_site_fract_y
_atom_site_fract_z
Ce1 0.0000 0.1855 0.2500
Al1 0.0000 0.1869 0.7500
Ga1 0.2018 0.4433 0.1756
O1 0.0989 0.2774 0.0200
O2 0.1069 0.0751 0.6758
O3 0.1645 0.4143 0.4380
```

For TmCuCl4, a crystal structure in Alexandria, relaxed with GGA-PBE gives the theoretical PXRD pattern in this record (Cu Kα (weighted mean of Kα1 and Kα2)).
Lines closer than 0.1° are merged.

Main lines, in order of falling intensity (5 to 70 degrees two-theta):
2θ 17.63, I 100
2θ 13.82, I 95
2θ 40.11, I 60
2θ 21.32, I 52
2θ 33.15, I 45
2θ 29.21, I 43
2θ 35.33, I 43
2θ 35.69, I 42
2θ 25.49, I 40
2θ 22.47, I 37

Crystal structure
```
data_TmCuCl4
_cell_length_a 6.3113
_cell_length_b 6.4078
_cell_length_c 8.3366
_cell_angle_alpha 90.00
_cell_angle_beta 90.00
_cell_angle_gamma 90.00
_space_group_name_H-M_alt 'P 2 2 2'
_space_group_IT_number 16
_space_group_name_Hall 'P 2 2'
loop_
_atom_site_label
_atom_site_fract_x
_atom_site_fract_y
_atom_site_fract_z
Tm1 0.0000 0.0000 0.0000
Tm2 0.5000 0.0000 0.5000
Cu1 0.0000 0.0000 0.5000
Cu2 0.0000 0.5000 0.0000
Cl1 0.2324 0.2155 0.3538
Cl2 0.2353 0.2685 0.8706
```

For Al3Zn4Ag, a crystal structure in Alexandria, relaxed with GGA-PBE gives the theoretical PXRD pattern in this record (Cu Kα (weighted mean of Kα1 and Kα2)).
Lines closer than 0.1° are merged.

Main lines, in order of falling intensity (5 to 70 degrees two-theta):
2θ 20.33, I 100
2θ 41.37, I 93
2θ 42.76, I 65
2θ 36.44, I 54
2θ 42.13, I 35
2θ 45.94, I 17
2θ 36.31, I 13
2θ 61.54, I 12
2θ 55.15, I 12
2θ 41.67, I 12

Crystal structure
```
data_Al3Zn4Ag
_cell_length_a 21.4911
_cell_length_b 3.0136
_cell_length_c 4.3772
_cell_angle_alpha 90.00
_cell_angle_beta 93.63
_cell_angle_gamma 90.00
_space_group_name_H-M_alt 'C 1 2/m 1'
_space_group_IT_number 12
_space_group_name_Hall '-C 2y'
loop_
_atom_site_label
_atom_site_fract_x
_atom_site_fract_y
_atom_site_fract_z
Al1 0.0000 0.0000 0.0000
Al2 0.1843 0.0000 0.0766
Zn1 0.1030 0.0000 0.5327
Zn2 0.2028 0.5000 0.5893
Ag1 0.0000 0.5000 0.5000
```

For In4Ag3, a crystal structure in Alexandria, relaxed with GGA-PBE gives the theoretical PXRD pattern in this record (Cu Kα (weighted mean of Kα1 and Kα2)).
Lines closer than 0.1° are merged.

Main lines, in order of falling intensity (5 to 70 degrees two-theta):
2θ 33.11, I 100
2θ 38.77, I 75
2θ 64.92, I 24
2θ 51.89, I 18
2θ 66.62, I 17
2θ 39.23, I 17
2θ 49.89, I 12
2θ 42.00, I 11
2θ 35.25, I 8
2θ 30.28, I 7

Crystal structure
```
data_In4Ag3
_cell_length_a 12.2894
_cell_length_b 12.2894
_cell_length_c 3.6555
_cell_angle_alpha 90.00
_cell_angle_beta 90.00
_cell_angle_gamma 120.00
_space_group_name_H-M_alt 'P -3'
_space_group_IT_number 147
_space_group_name_Hall '-P 3'
loop_
_atom_site_label
_atom_site_fract_x
_atom_site_fract_y
_atom_site_fract_z
In1 0.0240 0.7873 0.2512
In2 0.1264 0.6233 0.7674
Ag1 0.0000 0.0000 0.0000
Ag2 0.1278 0.4212 0.2609
Ag3 0.3333 0.6667 0.2708
```

For As2IrSBr, a crystal structure in Alexandria, relaxed with GGA-PBE gives the theoretical PXRD pattern in this record (Cu Kα (weighted mean of Kα1 and Kα2)).
Lines closer than 0.1° are merged.

Main lines, in order of falling intensity (5 to 70 degrees two-theta):
2θ 18.46, I 100
2θ 37.42, I 65
2θ 17.40, I 52
2θ 52.33, I 49
2θ 35.21, I 38
2θ 25.47, I 33
2θ 40.05, I 29
2θ 42.04, I 25
2θ 53.96, I 25
2θ 41.55, I 24

Crystal structure
```
data_As2IrSBr
_cell_length_a 4.8060
_cell_length_b 4.8060
_cell_length_c 5.0971
_cell_angle_alpha 90.00
_cell_angle_beta 90.00
_cell_angle_gamma 90.00
_space_group_name_H-M_alt 'P 4/m m m'
_space_group_IT_number 123
_space_group_name_Hall '-P 4 2'
loop_
_atom_site_label
_atom_site_fract_x
_atom_site_fract_y
_atom_site_fract_z
As1 0.0000 0.5000 0.0000
Ir1 0.0000 0.0000 0.0000
S1 0.5000 0.5000 0.5000
Br1 0.0000 0.0000 0.5000
```

For LiPu2Ru4, a crystal structure in Alexandria, relaxed with GGA-PBE gives the theoretical PXRD pattern in this record (Cu Kα (weighted mean of Kα1 and Kα2)).
Lines closer than 0.1° are merged.

Main lines, in order of falling intensity (5 to 70 degrees two-theta):
2θ 20.93, I 100
2θ 33.45, I 81
2θ 42.05, I 65
2θ 44.12, I 50
2θ 39.90, I 48
2θ 38.19, I 41
2θ 38.76, I 37
2θ 58.49, I 20
2θ 35.16, I 19
2θ 32.42, I 19

Crystal structure
```
data_LiPu2Ru4
_cell_length_a 9.7694
_cell_length_b 5.5232
_cell_length_c 9.0368
_cell_angle_alpha 90.00
_cell_angle_beta 90.00
_cell_angle_gamma 90.00
_space_group_name_H-M_alt 'C m c e'
_space_group_IT_number 64
_space_group_name_Hall '-C 2ac 2'
loop_
_atom_site_label
_atom_site_fract_x
_atom_site_fract_y
_atom_site_fract_z
Li1 0.0000 0.0000 0.0000
Pu1 0.1519 0.0000 0.5000
Ru1 0.0000 0.1729 0.2689
Ru2 0.2500 0.1034 0.7500
```

For MnGeAu6, a crystal structure in Alexandria, relaxed with GGA-PBE gives the theoretical PXRD pattern in this record (Cu Kα (weighted mean of Kα1 and Kα2)).
Lines closer than 0.1° are merged.

Main lines, in order of falling intensity (5 to 70 degrees two-theta):
2θ 39.85, I 100
2θ 36.70, I 62
2θ 68.20, I 40
2θ 52.87, I 22
2θ 29.83, I 14
2θ 14.83, I 7
2θ 62.16, I 6
2θ 25.72, I 6
2θ 61.90, I 4
2θ 59.87, I 3

Crystal structure
```
data_MnGeAu6
_cell_length_a 4.8981
_cell_length_b 4.8981
_cell_length_c 11.9471
_cell_angle_alpha 90.00
_cell_angle_beta 90.00
_cell_angle_gamma 90.00
_space_group_name_H-M_alt 'I 4/m m m'
_space_group_IT_number 139
_space_group_name_Hall '-I 4 2'
loop_
_atom_site_label
_atom_site_fract_x
_atom_site_fract_y
_atom_site_fract_z
Mn1 0.0000 0.0000 0.0000
Ge1 0.0000 0.0000 0.5000
Au1 0.0000 0.0000 0.2445
Au2 0.0000 0.5000 0.1205
```